The following is a simulated powder diffractogram of ScMnAs2H. It was derived from DFT lattice parameters and positions (PBE), using Cu Kα.
Peak positions follow from Bragg's law for the DFT cell and can differ from measured ones.

Atomic structure:
```
data_ScMnAs2H
_symmetry_space_group_name_H-M 'P 1'
_symmetry_Int_Tables_number 1
_cell_length_a 4.7233
_cell_length_b 4.7233
_cell_length_c 3.2772
_cell_angle_alpha 90.00
_cell_angle_beta 90.00
_cell_angle_gamma 90.00
loop_
_symmetry_equiv_pos_as_xyz
'x,y,z'
loop_
_atom_site_label
_atom_site_fract_x
_atom_site_fract_y
_atom_site_fract_z
_atom_site_occupancy
Sc1 0.0000 0.0000 0.0000 1
Mn1 0.5000 0.5000 0.0000 1
As1 0.0000 0.5000 0.5000 1
As2 0.5000 0.0000 0.5000 1
H1 0.5000 0.5000 0.5000 1
```

Most intense lines, 2θ = 15–90°, by angle:
d/Å	2θ/deg	I_rel	hkl
3.340	26.69	5	1 1 0
3.277	27.21	3	0 0 1
2.362	38.10	53	2 0 0
2.339	38.48	100	1 1 1
1.670	54.99	17	2 2 0
1.639	56.13	8	0 0 2
1.359	69.11	33	3 1 1
1.346	69.87	16	2 0 2
1.181	81.52	5	4 0 0
1.170	82.47	10	2 2 2